The following is a simulated powder XRD pattern of Mg6AlNiO8. It was derived from a DFT-relaxed cell (PBE+U, the Materials Project), using Cu Kα (weighted mean of Kα1 and Kα2).
Lines closer than 0.1° are merged.

Crystal structure
a = 4.187 Å, b = 4.187 Å, c = 8.735 Å
α = 90.00°, β = 90.00°, γ = 90.00°
Fractional positions:
Mg: 0.000 0.000 0.000
Mg: 0.000 0.000 0.500
Mg: 0.000 0.500 0.242
Mg: 0.000 0.500 0.758
Mg: 0.500 0.000 0.242
Mg: 0.500 0.000 0.758
Al: 0.500 0.500 0.500
Ni: 0.500 0.500 0.000
O: 0.000 0.000 0.250
O: 0.000 0.000 0.750
O: 0.000 0.500 0.000
O: 0.000 0.500 0.500
O: 0.500 0.000 0.000
O: 0.500 0.000 0.500
O: 0.500 0.500 0.292
O: 0.500 0.500 0.708

Peak list (8 most intense, 2θ from 10° to 80°, by angle)
2θ (°)	I/Imax	(hkl)
10.13	128	0 0 1
36.67	330	1 1 2
41.35	520	0 0 4
43.21	1000	2 0 0
61.34	556	2 0 4
62.77	281	2 2 0
74.95	116	3 1 2
77.97	248	2 2 4



The following is a simulated powder XRD pattern of FeHgO2F5. It was derived from a DFT-relaxed cell (PBE+U, the Materials Project), using Cu Kα (weighted mean of Kα1 and Kα2).
Lines closer than 0.1° are merged.

Crystal structure
a = 7.207 Å, b = 9.520 Å, c = 3.883 Å
α = 90.00°, β = 90.00°, γ = 90.00°
Fractional positions:
Fe: 0.000 0.000 0.000
Fe: 0.500 0.500 0.000
Hg: 0.000 0.500 0.500
Hg: 0.500 0.000 0.500
O: 0.091 0.288 0.500
O: 0.409 0.788 0.500
O: 0.591 0.212 0.500
O: 0.909 0.712 0.500
F: 0.000 0.000 0.500
F: 0.023 0.795 0.000
F: 0.232 0.514 0.000
F: 0.268 0.014 0.000
F: 0.477 0.295 0.000
F: 0.500 0.500 0.500
F: 0.523 0.705 0.000
F: 0.732 0.986 0.000
F: 0.768 0.486 0.000
F: 0.977 0.205 0.000

Peak list (8 most intense, 2θ from 10° to 80°, by angle)
2θ (°)	I/Imax	(hkl)
15.42	404	1 1 0
18.64	651	0 2 0
24.71	452	2 0 0
27.73	1000	1 1 1
31.13	223	2 2 0
38.71	266	1 3 1
39.00	303	2 2 1
45.40	283	3 1 1